Calculated powder diffraction line list of TaO for copper Kα, from a PBE-relaxed structure.

Atomic structure:
a b c (Å): 2.892 2.892 3.853
angles (deg): 90.00 90.00 90.00
Element x y z (fractional)
Ta: 0.000 0.000 0.000
O: 0.000 0.000 0.500

Largest 10 diffraction maxima, most intense first, 2θ = 10–80°:
2.892 Å, 30.92 deg, rel. 100.0; 2.313 Å, 38.94 deg, rel. 74.3; 3.853 Å, 23.08 deg, rel. 69.4; 2.045 Å, 44.29 deg, rel. 37.0; 1.806 Å, 50.52 deg, rel. 36.2; 1.603 Å, 57.48 deg, rel. 33.8; 1.402 Å, 66.70 deg, rel. 21.4; 1.226 Å, 77.91 deg, rel. 21.3; 1.294 Å, 73.17 deg, rel. 16.3; 1.927 Å, 47.18 deg, rel. 15.4

***

Calculated powder diffraction line list of Ga9Ir2 for copper Kα, from a PBE-relaxed structure.

Atomic structure:
a b c (Å): 6.474 6.459 8.872
angles (deg): 90.00 93.62 90.00
Element x y z (fractional)
Ga: 0.000 0.025 0.000
Ga: 0.000 0.975 0.500
Ga: 0.140 0.240 0.748
Ga: 0.140 0.760 0.248
Ga: 0.202 0.458 0.453
Ga: 0.202 0.542 0.953
Ga: 0.321 0.161 0.257
Ga: 0.321 0.839 0.757
Ga: 0.506 0.238 0.986
Ga: 0.506 0.762 0.486
Ga: 0.509 0.450 0.711
Ga: 0.509 0.550 0.211
Ga: 0.709 0.261 0.446
Ga: 0.709 0.739 0.946
Ga: 0.721 0.053 0.721
Ga: 0.721 0.947 0.221
Ga: 0.913 0.359 0.177
Ga: 0.913 0.641 0.677
Ir: 0.369 0.122 0.551
Ir: 0.369 0.878 0.051
Ir: 0.846 0.377 0.887
Ir: 0.846 0.623 0.387

Largest 10 diffraction maxima, most intense first, 2θ = 10–80°:
2.043 Å, 44.34 deg, rel. 100.0; 2.094 Å, 43.20 deg, rel. 76.3; 2.360 Å, 38.14 deg, rel. 70.3; 2.036 Å, 44.50 deg, rel. 58.3; 2.126 Å, 42.53 deg, rel. 57.1; 1.999 Å, 45.37 deg, rel. 56.7; 4.568 Å, 19.43 deg, rel. 48.3; 2.018 Å, 44.93 deg, rel. 48.0; 2.451 Å, 36.66 deg, rel. 41.0; 2.389 Å, 37.66 deg, rel. 40.8

***

Calculated powder diffraction line list of ZrBrCl2 for copper Kα, from a PBE-relaxed structure.

Atomic structure:
a b c (Å): 6.116 6.668 11.766
angles (deg): 90.00 90.00 90.00
Element x y z (fractional)
Zr: 0.000 0.000 0.000
Zr: 0.000 0.500 0.500
Zr: 0.500 0.000 0.000
Zr: 0.500 0.500 0.500
Br: 0.250 0.171 0.838
Br: 0.250 0.671 0.338
Br: 0.750 0.329 0.338
Br: 0.750 0.829 0.838
Cl: 0.250 0.152 0.153
Cl: 0.250 0.192 0.504
Cl: 0.250 0.652 0.653
Cl: 0.250 0.692 0.004
Cl: 0.750 0.308 0.004
Cl: 0.750 0.348 0.653
Cl: 0.750 0.808 0.504
Cl: 0.750 0.848 0.153

Largest 10 diffraction maxima, most intense first, 2θ = 10–80°:
5.801 Å, 15.27 deg, rel. 100.0; 2.959 Å, 30.21 deg, rel. 52.7; 2.268 Å, 39.74 deg, rel. 36.5; 5.883 Å, 15.06 deg, rel. 31.3; 1.934 Å, 46.99 deg, rel. 23.1; 2.927 Å, 30.54 deg, rel. 22.9; 2.254 Å, 40.01 deg, rel. 20.4; 1.479 Å, 62.82 deg, rel. 15.6; 2.713 Å, 33.01 deg, rel. 14.7; 2.705 Å, 33.11 deg, rel. 13.0

***

Calculated powder diffraction line list of NaPrSO for copper Kα, from a PBE-relaxed structure.

Atomic structure:
a b c (Å): 5.746 5.746 10.775
angles (deg): 90.00 104.68 90.00
Element x y z (fractional)
Na: 0.044 0.000 0.090
Na: 0.454 0.997 0.909
Na: 0.546 0.497 0.091
Na: 0.956 0.500 0.910
Pr: 0.055 0.257 0.615
Pr: 0.445 0.257 0.385
Pr: 0.555 0.757 0.615
Pr: 0.945 0.757 0.385
S: 0.084 0.494 0.177
S: 0.417 0.493 0.823
S: 0.583 0.993 0.177
S: 0.916 0.994 0.823
O: 0.250 0.007 0.500
O: 0.250 0.508 0.500
O: 0.750 0.008 0.500
O: 0.750 0.507 0.500

Largest 10 diffraction maxima, most intense first, 2θ = 10–80°:
3.493 Å, 25.50 deg, rel. 100.0; 3.522 Å, 25.29 deg, rel. 93.2; 2.924 Å, 30.57 deg, rel. 72.1; 2.896 Å, 30.88 deg, rel. 70.0; 2.031 Å, 44.61 deg, rel. 59.8; 2.770 Å, 32.32 deg, rel. 50.4; 3.988 Å, 22.29 deg, rel. 44.1; 2.214 Å, 40.75 deg, rel. 29.3; 2.606 Å, 34.42 deg, rel. 29.1; 2.779 Å, 32.21 deg, rel. 27.4

***

Calculated powder diffraction line list of DyEr2N3 for copper Kα, from a PBE-relaxed structure.

Atomic structure:
a b c (Å): 3.429 3.429 8.409
angles (deg): 90.00 90.00 120.00
Element x y z (fractional)
Dy: 0.000 0.000 0.000
Er: 0.333 0.667 0.335
Er: 0.667 0.333 0.665
N: 0.000 0.000 0.500
N: 0.333 0.667 0.831
N: 0.667 0.333 0.169

Largest 6 diffraction maxima, most intense first, 2θ = 10–80°:
2.801 Å, 31.96 deg, rel. 100.0; 2.425 Å, 37.07 deg, rel. 70.6; 1.715 Å, 53.43 deg, rel. 48.4; 1.463 Å, 63.62 deg, rel. 44.3; 1.400 Å, 66.81 deg, rel. 16.2; 1.213 Å, 78.95 deg, rel. 7.6

***

Calculated powder diffraction line list of SmTlHgTe3 for copper Kα, from a PBE-relaxed structure.

Atomic structure:
a b c (Å): 11.763 4.490 15.413
angles (deg): 90.00 90.00 90.00
Element x y z (fractional)
Sm: 0.013 0.250 0.247
Sm: 0.487 0.750 0.747
Sm: 0.513 0.250 0.253
Sm: 0.987 0.750 0.753
Tl: 0.232 0.750 0.511
Tl: 0.268 0.250 0.011
Tl: 0.732 0.750 0.989
Tl: 0.768 0.250 0.489
Hg: 0.242 0.250 0.715
Hg: 0.258 0.750 0.215
Hg: 0.742 0.250 0.785
Hg: 0.758 0.750 0.285
Te: 0.040 0.250 0.613
Te: 0.064 0.750 0.107
Te: 0.238 0.750 0.835
Te: 0.262 0.250 0.335
Te: 0.436 0.250 0.607
Te: 0.460 0.750 0.113
Te: 0.540 0.250 0.887
Te: 0.564 0.750 0.393
Te: 0.738 0.750 0.665
Te: 0.762 0.250 0.165
Te: 0.936 0.250 0.893
Te: 0.960 0.750 0.387

Largest 10 diffraction maxima, most intense first, 2θ = 10–80°:
3.249 Å, 27.45 deg, rel. 100.0; 2.931 Å, 30.50 deg, rel. 88.3; 2.941 Å, 30.39 deg, rel. 39.9; 2.246 Å, 40.16 deg, rel. 37.2; 2.334 Å, 38.57 deg, rel. 28.9; 1.931 Å, 47.06 deg, rel. 25.6; 2.561 Å, 35.04 deg, rel. 25.0; 1.785 Å, 51.19 deg, rel. 24.2; 2.354 Å, 38.23 deg, rel. 21.9; 2.901 Å, 30.83 deg, rel. 17.7

***

Calculated powder diffraction line list of Al2Ni3Se2 for copper Kα, from a PBE-relaxed structure.

Atomic structure:
a b c (Å): 5.428 5.428 5.428
angles (deg): 56.79 56.79 56.79
Element x y z (fractional)
Al: 0.000 0.000 0.000
Al: 0.500 0.500 0.500
Ni: 0.000 0.500 0.500
Ni: 0.500 0.000 0.500
Ni: 0.500 0.500 0.000
Se: 0.206 0.206 0.206
Se: 0.794 0.794 0.794

Largest 10 diffraction maxima, most intense first, 2θ = 10–80°:
3.737 Å, 23.81 deg, rel. 100.0; 2.244 Å, 40.20 deg, rel. 77.1; 1.868 Å, 48.74 deg, rel. 66.9; 2.206 Å, 40.91 deg, rel. 62.9; 1.728 Å, 53.01 deg, rel. 61.9; 2.581 Å, 34.75 deg, rel. 38.2; 1.291 Å, 73.35 deg, rel. 30.5; 2.268 Å, 39.74 deg, rel. 27.6; 1.783 Å, 51.24 deg, rel. 25.7; 1.640 Å, 56.08 deg, rel. 18.2

***

Calculated powder diffraction line list of FeAgBrCl3 for copper Kα, from a PBE-relaxed structure.

Atomic structure:
a b c (Å): 5.816 5.828 6.707
angles (deg): 114.64 115.48 90.43
Element x y z (fractional)
Fe: 0.000 0.000 0.000
Ag: 0.255 0.758 0.507
Br: 0.376 0.339 0.240
Cl: 0.098 0.655 0.772
Cl: 0.675 0.122 0.769
Cl: 0.885 0.908 0.238

Largest 10 diffraction maxima, most intense first, 2θ = 10–80°:
5.112 Å, 17.35 deg, rel. 100.0; 5.081 Å, 17.45 deg, rel. 85.6; 3.292 Å, 27.09 deg, rel. 69.0; 3.277 Å, 27.21 deg, rel. 61.1; 3.237 Å, 27.56 deg, rel. 60.9; 3.252 Å, 27.42 deg, rel. 57.8; 1.970 Å, 46.06 deg, rel. 52.4; 3.044 Å, 29.34 deg, rel. 33.7; 2.051 Å, 44.17 deg, rel. 29.3; 2.066 Å, 43.82 deg, rel. 28.3

***

Calculated powder diffraction line list of NdYPO for copper Kα, from a PBE-relaxed structure.

Atomic structure:
a b c (Å): 4.246 7.682 5.522
angles (deg): 90.00 90.00 90.00
Element x y z (fractional)
Nd: 0.000 0.134 0.000
Nd: 0.000 0.866 0.500
Y: 0.500 0.295 0.482
Y: 0.500 0.705 0.982
P: 0.500 0.353 0.980
P: 0.500 0.647 0.480
O: 0.000 0.177 0.464
O: 0.000 0.823 0.964

Largest 10 diffraction maxima, most intense first, 2θ = 10–80°:
3.083 Å, 28.96 deg, rel. 100.0; 3.716 Å, 23.95 deg, rel. 75.6; 2.761 Å, 32.42 deg, rel. 61.4; 3.153 Å, 28.30 deg, rel. 48.6; 2.193 Å, 41.17 deg, rel. 42.1; 1.717 Å, 53.35 deg, rel. 37.7; 2.216 Å, 40.71 deg, rel. 35.2; 2.532 Å, 35.46 deg, rel. 30.7; 7.682 Å, 11.52 deg, rel. 29.8; 2.123 Å, 42.59 deg, rel. 28.8

***

Calculated powder diffraction line list of MgZnInFe for copper Kα, from a PBE-relaxed structure.

Atomic structure:
a b c (Å): 6.369 6.369 6.369
angles (deg): 90.00 90.00 90.00
Element x y z (fractional)
Mg: 0.000 0.000 0.000
Mg: 0.000 0.500 0.500
Mg: 0.500 0.000 0.500
Mg: 0.500 0.500 0.000
Zn: 0.250 0.250 0.250
Zn: 0.250 0.750 0.750
Zn: 0.750 0.250 0.750
Zn: 0.750 0.750 0.250
In: 0.000 0.000 0.500
In: 0.000 0.500 0.000
In: 0.500 0.000 0.000
In: 0.500 0.500 0.500
Fe: 0.250 0.250 0.750
Fe: 0.250 0.750 0.250
Fe: 0.750 0.250 0.250
Fe: 0.750 0.750 0.750

Largest 7 diffraction maxima, most intense first, 2θ = 10–80°:
2.252 Å, 40.04 deg, rel. 100.0; 1.300 Å, 72.74 deg, rel. 31.3; 3.677 Å, 24.21 deg, rel. 28.4; 1.592 Å, 57.92 deg, rel. 16.0; 1.920 Å, 47.34 deg, rel. 13.9; 1.461 Å, 63.69 deg, rel. 5.6; 1.226 Å, 77.95 deg, rel. 4.2

***

Calculated powder diffraction line list of CuAg for copper Kα, from a PBE-relaxed structure.

Atomic structure:
a b c (Å): 2.831 5.748 7.319
angles (deg): 90.00 90.00 90.00
Element x y z (fractional)
Cu: 0.000 0.000 0.234
Cu: 0.000 0.000 0.766
Cu: 0.500 0.215 0.000
Cu: 0.500 0.785 0.000
Ag: 0.000 0.500 0.219
Ag: 0.000 0.500 0.781
Ag: 0.500 0.243 0.500
Ag: 0.500 0.757 0.500

Largest 10 diffraction maxima, most intense first, 2θ = 10–80°:
2.239 Å, 40.28 deg, rel. 100.0; 2.260 Å, 39.89 deg, rel. 98.9; 2.017 Å, 44.95 deg, rel. 73.2; 1.355 Å, 69.35 deg, rel. 29.5; 1.200 Å, 79.98 deg, rel. 23.2; 1.830 Å, 49.84 deg, rel. 22.1; 1.209 Å, 79.21 deg, rel. 21.3; 1.415 Å, 66.00 deg, rel. 11.2; 1.437 Å, 64.89 deg, rel. 10.2; 1.554 Å, 59.47 deg, rel. 8.4

***

Calculated powder diffraction line list of ErTm6Co2Te2 for copper Kα, from a PBE-relaxed structure.

Atomic structure:
a b c (Å): 9.232 9.232 9.232
angles (deg): 156.31 66.37 119.02
Element x y z (fractional)
Er: 0.000 0.000 0.000
Tm: 0.062 0.376 0.686
Tm: 0.079 0.728 0.351
Tm: 0.377 0.728 0.649
Tm: 0.447 0.582 0.865
Tm: 0.690 0.376 0.314
Tm: 0.717 0.582 0.135
Co: 0.308 0.071 0.237
Co: 0.834 0.071 0.763
Te: 0.337 0.337 0.000
Te: 0.734 0.234 0.500

Largest 10 diffraction maxima, most intense first, 2θ = 10–80°:
2.599 Å, 34.51 deg, rel. 100.0; 2.670 Å, 33.56 deg, rel. 83.5; 2.557 Å, 35.09 deg, rel. 52.7; 2.894 Å, 30.90 deg, rel. 52.1; 3.056 Å, 29.22 deg, rel. 37.8; 1.545 Å, 59.85 deg, rel. 32.0; 1.895 Å, 48.01 deg, rel. 29.3; 2.576 Å, 34.83 deg, rel. 26.5; 2.410 Å, 37.31 deg, rel. 23.0; 2.935 Å, 30.46 deg, rel. 21.9